# 1
The following is a simulated powder diffractogram of AsPt3S4Br. It was derived from the PBE geometry in OQMD, using λ = 1.5418 Å (Cu Kα).
No peak broadening, texture or thermal motion is included.

Top 10 peaks for 2θ = 10–80°, in order of rising 2θ:
- 15.30°, I 100.0
- 27.79°, I 11.0
- 30.94°, I 47.9
- 34.71°, I 65.5
- 42.12°, I 13.2
- 44.29°, I 38.8
- 47.88°, I 13.5
- 55.08°, I 10.9
- 57.41°, I 15.9
- 75.92°, I 10.1

Cell and atoms:
```
18
Lattice="6.6694 0.0000 0.0000 -3.3347 5.7759 0.0000 0.0000 0.0000 11.5857" Properties=species:S:1:pos:R:3 pbc="T T T"
As 0.0000 0.0000 0.0000
As 0.0000 0.0000 5.7929
Pt -1.4082 3.0375 0.0666
Pt 1.4082 3.0375 0.0666
Pt 0.0000 5.4767 0.0666
Pt 3.3347 0.2992 5.8594
Pt 1.9265 2.7383 5.8594
Pt 4.7429 2.7383 5.8594
S 0.0000 2.0005 6.9741
S -1.6022 4.7756 6.9741
S 0.0000 3.8506 10.0986
S 1.7325 1.0003 1.1812
S 1.6022 4.7756 6.9741
S 3.3347 1.9253 4.3058
S 4.9369 1.0003 1.1812
S 3.3347 3.7754 1.1812
Br 0.0000 3.8506 3.7420
Br 3.3347 1.9253 9.5348
```

# 2
The following is a simulated powder diffractogram of Er3Lu4Te2Pd2. It was derived from the PBE geometry in OQMD, using λ = 1.5418 Å (Cu Kα).
No peak broadening, texture or thermal motion is included.

Top 10 peaks for 2θ = 10–80°, in order of rising 2θ:
- 28.75°, I 30.3
- 30.22°, I 48.5
- 30.45°, I 19.9
- 33.20°, I 61.1
- 34.04°, I 100.0
- 34.50°, I 47.9
- 36.54°, I 20.9
- 46.63°, I 28.0
- 51.38°, I 20.1
- 58.43°, I 24.4

Cell and atoms:
```
11
Lattice="-1.9478 7.7146 4.7550 1.9478 -7.7146 4.7550 1.9478 7.7146 -4.7550" Properties=species:S:1:pos:R:3 pbc="T T T"
Er 0.0000 0.0000 0.0000
Er 1.9478 2.8260 1.2061
Er 0.0000 4.8886 5.9610
Lu 1.9478 5.6968 -0.7899
Lu 0.0000 2.0178 3.9651
Lu 0.0000 5.4972 2.5318
Lu 0.0000 9.9320 2.5318
Te 1.9478 0.0000 2.5431
Te 0.0000 0.0000 6.2806
Pd 1.9478 -4.0588 4.0812
Pd 1.9478 4.0588 4.0812
```

# 3
The following is a simulated powder diffractogram of ErZrFeSi2. It was derived from the PBE geometry in OQMD, using λ = 1.5418 Å (Cu Kα).
No peak broadening, texture or thermal motion is included.

Top 10 peaks for 2θ = 10–80°, in order of rising 2θ:
- 24.51°, I 18.8
- 28.01°, I 21.0
- 29.02°, I 27.0
- 35.04°, I 37.1
- 35.44°, I 100.0
- 36.12°, I 30.2
- 38.94°, I 17.8
- 42.38°, I 26.7
- 43.19°, I 21.9
- 45.63°, I 25.4

Cell and atoms:
```
10
Lattice="5.0757 -1.9883 0.0000 5.0757 1.9883 0.0000 -4.6461 0.0000 8.5315" Properties=species:S:1:pos:R:3 pbc="T T T"
Er 1.4330 0.0000 0.9080
Er 4.0724 0.0000 7.6235
Zr -1.5099 0.0000 2.8241
Zr 7.0152 0.0000 5.7074
Fe -0.1111 0.0000 5.2839
Fe 5.6164 0.0000 3.2477
Si 1.5818 0.0000 3.6949
Si 4.4022 0.0000 1.1425
Si 1.1031 0.0000 7.3890
Si 3.9235 0.0000 4.8366
```

# 4
The following is a simulated powder diffractogram of AcTaAu. It was derived from the PBE geometry in OQMD, using λ = 1.5418 Å (Cu Kα).
No peak broadening, texture or thermal motion is included.

Top 10 peaks for 2θ = 10–80°, in order of rising 2θ:
- 22.53°, I 21.7
- 26.08°, I 20.0
- 37.21°, I 100.0
- 43.94°, I 11.4
- 46.00°, I 6.1
- 53.64°, I 17.8
- 58.90°, I 4.8
- 60.59°, I 8.1
- 67.09°, I 36.7
- 79.30°, I 11.6

Cell and atoms:
```
3
Lattice="0.0000 3.4172 3.4172 3.4172 0.0000 3.4172 3.4172 3.4172 0.0000" Properties=species:S:1:pos:R:3 pbc="T T T"
Ac 0.0000 0.0000 0.0000
Ta 5.1257 5.1257 5.1257
Au 3.4172 3.4172 3.4172
```

# 5
The following is a simulated powder diffractogram of Co7Sn. It was derived from the PBE geometry in OQMD, using λ = 1.5418 Å (Cu Kα).
No peak broadening, texture or thermal motion is included.

Top 10 peaks for 2θ = 10–80°, in order of rising 2θ:
- 10.53°, I 23.7
- 39.58°, I 12.8
- 43.73°, I 100.0
- 43.93°, I 55.5
- 46.23°, I 27.3
- 49.69°, I 37.7
- 51.80°, I 20.9
- 53.70°, I 26.3
- 76.15°, I 20.9
- 77.82°, I 11.0

Cell and atoms:
```
16
Lattice="2.6050 0.0000 0.0000 0.0000 3.4149 0.0000 0.0000 0.0000 33.6058" Properties=species:S:1:pos:R:3 pbc="T T T"
Co 0.6513 0.8537 0.6147
Co 0.6513 0.8537 3.0870
Co 0.6513 0.8537 5.5427
Co 0.6513 0.8537 7.9968
Co 0.6513 0.8537 26.8130
Co 0.6513 0.8537 29.2778
Co 0.6513 0.8537 31.7587
Co 1.9538 2.5612 1.8471
Co 1.9538 2.5612 4.3280
Co 1.9538 2.5612 6.7928
Co 1.9538 2.5612 25.6090
Co 1.9538 2.5612 28.0631
Co 1.9538 2.5612 30.5188
Co 1.9538 2.5612 32.9911
Sn 0.6513 0.8537 23.8892
Sn 1.9538 2.5612 9.7166
```

# 6
The following is a simulated powder diffractogram of PmGdNO. It was derived from the PBE geometry in OQMD, using λ = 1.5418 Å (Cu Kα).
No peak broadening, texture or thermal motion is included.

Top 10 peaks for 2θ = 10–80°, in order of rising 2θ:
- 26.34°, I 35.8
- 30.63°, I 100.0
- 31.01°, I 27.5
- 41.13°, I 19.0
- 46.48°, I 29.7
- 54.93°, I 24.3
- 56.73°, I 12.4
- 56.93°, I 28.9
- 74.74°, I 9.6
- 76.19°, I 10.4

Cell and atoms:
```
8
Lattice="3.9030 0.0000 0.0000 0.0000 6.7772 0.0000 0.0000 0.0000 5.7671" Properties=species:S:1:pos:R:3 pbc="T T T"
Pm 0.0000 1.0954 0.0000
Pm 0.0000 5.6818 2.8836
Gd 1.9515 2.2433 2.9041
Gd 1.9515 4.5338 0.0205
N 0.0000 1.1728 2.3688
N 0.0000 5.6043 5.2524
O 1.9515 2.3315 5.1570
O 1.9515 4.4457 2.2734
```

# 7
The following is a simulated powder diffractogram of CsRbTbAg2Te4. It was derived from the PBE geometry in OQMD, using λ = 1.5418 Å (Cu Kα).
No peak broadening, texture or thermal motion is included.

Top 10 peaks for 2θ = 10–80°, in order of rising 2θ:
- 12.23°, I 22.8
- 26.23°, I 100.0
- 26.34°, I 12.3
- 29.11°, I 33.9
- 36.24°, I 16.3
- 36.34°, I 26.2
- 37.59°, I 53.0
- 46.18°, I 27.9
- 46.38°, I 39.9
- 74.03°, I 11.6

Cell and atoms:
```
9
Lattice="6.7625 0.0000 0.0000 0.0000 6.7719 0.0000 -3.3432 0.0000 7.2362" Properties=species:S:1:pos:R:3 pbc="T T T"
Cs 0.0000 0.0000 0.0000
Rb 3.3813 3.2604 0.0000
Tb 1.7097 5.0108 3.6181
Ag -1.6716 5.0162 3.6181
Ag 1.7097 1.6267 3.6181
Te -0.0349 3.2637 2.0314
Te -0.0322 6.7599 5.2090
Te 3.4516 6.7599 2.0272
Te 3.4542 3.2637 5.2049
```

# 8
The following is a simulated powder diffractogram of ZrAlCuC. It was derived from the PBE geometry in OQMD, using λ = 1.5418 Å (Cu Kα).
No peak broadening, texture or thermal motion is included.

Top 10 peaks for 2θ = 10–80°, in order of rising 2θ:
- 13.75°, I 18.0
- 32.25°, I 20.6
- 33.01°, I 15.2
- 35.21°, I 17.0
- 38.63°, I 100.0
- 42.09°, I 17.3
- 48.19°, I 12.4
- 57.51°, I 23.8
- 71.43°, I 14.8
- 73.78°, I 18.3

Cell and atoms:
```
8
Lattice="3.2051 0.0000 0.0000 -1.6026 2.7757 0.0000 0.0000 0.0000 12.8805" Properties=species:S:1:pos:R:3 pbc="T T T"
Zr 0.0000 0.0000 0.0000
Zr 0.0000 1.8505 6.4402
Al 1.6026 0.9252 2.3541
Al 1.6026 0.9252 10.5264
Cu 0.0000 0.0000 4.3534
Cu 0.0000 0.0000 8.5271
C 0.0000 1.8505 1.5231
C 0.0000 1.8505 11.3574
```